No. 1
For Sm3Dy2Er6, a crystal structure in Alexandria, relaxed with PBE gives the theoretical powder diffraction line list in this record (CuKα).

Largest 10 diffraction maxima, sorted by position, 2θ from 10° to 80°:
d = 3.093 Å, 2θ 28.86, intensity 100; d = 2.900 Å, 2θ 30.83, intensity 23; d = 2.758 Å, 2θ 32.46, intensity 22; d = 2.596 Å, 2θ 34.55, intensity 81; d = 2.358 Å, 2θ 38.16, intensity 62; d = 1.792 Å, 2θ 50.95, intensity 25; d = 1.668 Å, 2θ 55.07, intensity 22; d = 1.482 Å, 2θ 62.67, intensity 22; d = 1.468 Å, 2θ 63.37, intensity 22; d = 1.403 Å, 2θ 66.66, intensity 24

Cell and atoms:
Cell: 16.880 16.880 16.880 Å, 163.94 163.94 22.79°
Fractional positions:
Sm (0.000, 0.000, 0.000)
Sm (0.202, 0.202, 0.000)
Sm (0.798, 0.798, 0.000)
Dy (0.454, 0.454, 0.000)
Dy (0.546, 0.546, 0.000)
Er (0.121, 0.621, 0.500)
Er (0.306, 0.306, 0.000)
Er (0.379, 0.879, 0.500)
Er (0.621, 0.121, 0.500)
Er (0.694, 0.694, 0.000)
Er (0.879, 0.379, 0.500)



No. 2
For Pm4Dy6Tm, a crystal structure in Alexandria, relaxed with PBE gives the theoretical powder diffraction line list in this record (CuKα).

Largest 10 diffraction maxima, sorted by position, 2θ from 10° to 80°:
d = 3.130 Å, 2θ 28.52, intensity 32; d = 2.962 Å, 2θ 30.17, intensity 100; d = 2.934 Å, 2θ 30.47, intensity 16; d = 2.887 Å, 2θ 30.98, intensity 20; d = 2.851 Å, 2θ 31.38, intensity 20; d = 2.811 Å, 2θ 31.83, intensity 86; d = 2.632 Å, 2θ 34.06, intensity 14; d = 2.512 Å, 2θ 35.74, intensity 17; d = 1.740 Å, 2θ 52.61, intensity 15; d = 1.498 Å, 2θ 61.95, intensity 16

Cell and atoms:
Cell: 9.111 9.111 6.857 Å, 99.53 99.53 40.19°
Fractional positions:
Pm (0.149, 0.149, 0.408)
Pm (0.323, 0.323, 0.251)
Pm (0.677, 0.677, 0.749)
Pm (0.851, 0.851, 0.592)
Dy (0.107, 0.105, 0.915)
Dy (0.308, 0.309, 0.760)
Dy (0.499, 0.501, 0.000)
Dy (0.691, 0.692, 0.240)
Dy (0.734, 0.266, 0.500)
Dy (0.895, 0.893, 0.085)
Tm (0.264, 0.736, 0.500)



No. 3
For LaTlRe, a crystal structure in Alexandria, relaxed with PBE gives the theoretical powder diffraction line list in this record (CuKα).

Largest 10 diffraction maxima, sorted by position, 2θ from 10° to 80°:
d = 4.388 Å, 2θ 20.24, intensity 20; d = 3.004 Å, 2θ 29.74, intensity 100; d = 2.760 Å, 2θ 32.44, intensity 68; d = 2.371 Å, 2θ 37.95, intensity 52; d = 2.293 Å, 2θ 39.29, intensity 22; d = 2.267 Å, 2θ 39.76, intensity 32; d = 2.061 Å, 2θ 43.92, intensity 24; d = 1.651 Å, 2θ 55.66, intensity 30; d = 1.639 Å, 2θ 56.13, intensity 34; d = 1.525 Å, 2θ 60.73, intensity 19

Cell and atoms:
Cell: 8.985 8.985 4.123 Å, 90.00 90.00 150.77°
Fractional positions:
La (0.096, 0.904, 0.750)
La (0.904, 0.096, 0.250)
Tl (0.296, 0.704, 0.750)
Tl (0.704, 0.296, 0.250)
Re (0.463, 0.537, 0.750)
Re (0.537, 0.463, 0.250)